1.
Calculated X-ray diffraction stick pattern of Gd2MgS4 for Cu Kα (λ = 1.5418 Å), from a structure optimized by DFT (PBE).
No peak broadening, texture or thermal motion is included.

Atomic structure:
Cell: 12.728 3.885 13.620 Å, 90.00 90.00 90.00°
Fractional positions:
Gd  0.119  0.250  0.075
Gd  0.135  0.250  0.706
Gd  0.365  0.750  0.206
Gd  0.381  0.750  0.575
Gd  0.619  0.250  0.425
Gd  0.635  0.250  0.794
Gd  0.865  0.750  0.294
Gd  0.881  0.750  0.925
Mg  0.110  0.750  0.456
Mg  0.390  0.250  0.956
Mg  0.610  0.750  0.044
Mg  0.890  0.250  0.544
S  0.006  0.750  0.615
S  0.027  0.250  0.885
S  0.228  0.250  0.247
S  0.235  0.250  0.517
S  0.265  0.750  0.017
S  0.272  0.750  0.747
S  0.473  0.750  0.385
S  0.494  0.250  0.115
S  0.506  0.750  0.885
S  0.527  0.250  0.615
S  0.728  0.250  0.253
S  0.735  0.250  0.983
S  0.765  0.750  0.483
S  0.772  0.750  0.753
S  0.973  0.750  0.115
S  0.994  0.250  0.385

Top 10 peaks for 10° ≤ 2θ ≤ 90°, by intensity:
| 2theta | I (rel.) |
| --- | --- |
| 26.89 | 100 |
| 24.08 | 89 |
| 14.75 | 86 |
| 33.95 | 54 |
| 41.74 | 47 |
| 41.09 | 32 |
| 31.92 | 32 |
| 30.28 | 30 |
| 46.77 | 25 |
| 37.11 | 24 |

=====

2.
Calculated X-ray diffraction stick pattern of NaSrCeSbO6 for Cu Kα (λ = 1.5418 Å), from a structure optimized by DFT (PBE).
No peak broadening, texture or thermal motion is included.

Atomic structure:
Cell: 5.954 5.954 5.954 Å, 60.00 60.00 60.00°
Fractional positions:
Na  0.000  0.000  0.000
Sr  0.500  0.500  0.500
Ce  0.250  0.250  0.250
Sb  0.750  0.750  0.750
O  0.513  0.513  0.987
O  0.513  0.987  0.513
O  0.513  0.987  0.987
O  0.987  0.513  0.513
O  0.987  0.513  0.987
O  0.987  0.987  0.513

Top 10 peaks for 10° ≤ 2θ ≤ 90°, by intensity:
| 2theta | I (rel.) |
| --- | --- |
| 30.02 | 100 |
| 53.30 | 40 |
| 21.10 | 35 |
| 42.97 | 35 |
| 86.50 | 21 |
| 62.39 | 21 |
| 70.77 | 18 |
| 48.34 | 14 |
| 18.25 | 8 |
| 78.74 | 7 |

=====

3.
Calculated X-ray diffraction stick pattern of Cs2RbScI6 for Cu Kα (λ = 1.5418 Å), from a structure optimized by DFT (PBE).
No peak broadening, texture or thermal motion is included.

Atomic structure:
Cell: 9.036 9.036 9.036 Å, 60.00 60.00 60.00°
Fractional positions:
Cs  0.250  0.250  0.250
Cs  0.750  0.750  0.750
Rb  0.000  0.000  0.000
Sc  0.500  0.500  0.500
I  0.273  0.273  0.727
I  0.273  0.727  0.273
I  0.273  0.727  0.727
I  0.727  0.273  0.273
I  0.727  0.273  0.727
I  0.727  0.727  0.273

Top 10 peaks for 10° ≤ 2θ ≤ 90°, by intensity:
| 2theta | I (rel.) |
| --- | --- |
| 24.13 | 100 |
| 27.93 | 88 |
| 39.91 | 61 |
| 47.18 | 40 |
| 65.31 | 22 |
| 49.41 | 20 |
| 72.47 | 15 |
| 63.46 | 13 |
| 36.54 | 12 |
| 30.49 | 11 |

=====

4.
Calculated X-ray diffraction stick pattern of Pr2Re3B6 for Cu Kα (λ = 1.5418 Å), from a structure optimized by DFT (PBE).
No peak broadening, texture or thermal motion is included.

Atomic structure:
Cell: 6.347 6.347 7.641 Å, 90.56 90.56 114.85°
Fractional positions:
Pr  0.059  0.407  0.174
Pr  0.407  0.059  0.674
Pr  0.593  0.941  0.326
Pr  0.941  0.593  0.826
Re  0.084  0.916  0.250
Re  0.305  0.489  0.587
Re  0.489  0.305  0.087
Re  0.511  0.695  0.913
Re  0.695  0.511  0.413
Re  0.916  0.084  0.750
B  0.060  0.150  0.467
B  0.085  0.658  0.480
B  0.150  0.060  0.967
B  0.257  0.347  0.868
B  0.342  0.915  0.020
B  0.347  0.257  0.368
B  0.653  0.743  0.632
B  0.658  0.085  0.980
B  0.743  0.653  0.132
B  0.850  0.940  0.033
B  0.915  0.342  0.520
B  0.940  0.850  0.533

Top 10 peaks for 10° ≤ 2θ ≤ 90°, by intensity:
| 2theta | I (rel.) |
| --- | --- |
| 33.08 | 100 |
| 28.23 | 86 |
| 35.57 | 59 |
| 38.43 | 36 |
| 42.46 | 26 |
| 45.95 | 25 |
| 49.12 | 23 |
| 63.54 | 22 |
| 33.50 | 21 |
| 31.06 | 21 |